# TbDy3Ir2
Calculated X-ray powder pattern, copper Kα. Input: a DFT-relaxed cell (GGA-PBE, Alexandria).

Peak list (10 most intense, 2θ = 15–90°, by angle)
22.42 deg, d 3.965, I = 100
29.33 deg, d 3.045, I = 21
34.88 deg, d 2.572, I = 57
36.78 deg, d 2.443, I = 94
37.49 deg, d 2.399, I = 90
39.22 deg, d 2.297, I = 25
48.36 deg, d 1.882, I = 20
51.93 deg, d 1.761, I = 21
65.79 deg, d 1.419, I = 35
69.15 deg, d 1.359, I = 20

```
data_TbDy3Ir2
_symmetry_space_group_name_H-M 'I b a m'
_symmetry_Int_Tables_number 72
_symmetry_space_group_name_Hall '-I 2 2c'
_cell_length_a 6.773
_cell_length_b 13.598
_cell_length_c 7.043
_cell_angle_alpha 90.00
_cell_angle_beta 90.00
_cell_angle_gamma 90.00
loop_
_atom_site_label
_atom_site_type_symbol
_atom_site_fract_x
_atom_site_fract_y
_atom_site_fract_z
Tb1 Tb 0.000 0.000 0.000
Dy1 Dy 0.000 0.235 0.250
Dy2 Dy 0.000 0.500 0.250
Ir1 Ir 0.213 0.362 0.000
```